For UGa2Cu6, a crystal structure in the Materials Project, relaxed with GGA-PBE gives the simulated X-ray powder pattern in this record (Cu Kα, 1.54184 Å).
Peak positions follow from Bragg's law for the DFT cell and can differ from measured ones.

Largest 10 diffraction maxima, in order of rising 2θ, 15° ≤ 2θ ≤ 90°:
2θ 29.91, I = 49
2θ 35.65, I = 35
2θ 37.72, I = 18
2θ 41.40, I = 44
2θ 42.11, I = 100
2θ 44.17, I = 23
2θ 60.53, I = 17
2θ 62.14, I = 15
2θ 68.47, I = 18
2θ 75.51, I = 15

Crystal structure
```
data_UGa2Cu6
_cell_length_a 8.7230
_cell_length_b 8.7230
_cell_length_c 12.3012
_cell_angle_alpha 90.00
_cell_angle_beta 90.00
_cell_angle_gamma 120.00
_symmetry_space_group_name_H-M 'R 3 m'
_symmetry_Int_Tables_number 160
_symmetry_space_group_name_Hall 'R 3 -2"'
loop_
_atom_site_label
_atom_site_type_symbol
_atom_site_fract_x
_atom_site_fract_y
_atom_site_fract_z
_atom_site_occupancy
U1 U 0.0000 0.0000 0.0000 1
U2 U 0.0000 0.0000 0.3052 1
Ga1 Ga 0.0000 0.0000 0.7220 1
Ga2 Ga 0.0203 0.5102 0.1574 1
Cu1 Cu 0.0111 0.5055 0.8099 1
Cu2 Cu 0.0294 0.3621 0.3233 1
Cu3 Cu 0.1673 0.3345 0.8359 1
```